For PdPbSO, a GGA-PBE-relaxed structure gives the theoretical powder X-ray diffraction pattern in this record (Cu Kα).
Kinematic intensities with the Lorentz-polarization factor, no thermal factor.

Cell and atoms:
abc: 3.418 14.467 5.892
angles: 90.00 90.00 90.00
Space group Cmcm (No. 63)
Unique sites:
Pd1 0.000 0.126 0.250 x4
Pb1 0.000 0.418 0.250 x4
S1 0.000 0.272 0.750 x4
O1 0.000 0.000 0.000 x4

Top 12 peaks for 2θ = 10–80°, by angle:
12.24 deg, rel. 23, hkl 0 2 0
24.61 deg, rel. 17, hkl 0 4 0
28.97 deg, rel. 37, hkl 0 4 1
30.34 deg, rel. 43, hkl 0 0 2
30.87 deg, rel. 32, hkl 1 1 1
35.62 deg, rel. 100, hkl 1 3 1
39.45 deg, rel. 15, hkl 0 4 2
40.91 deg, rel. 14, hkl 1 1 2
51.69 deg, rel. 19, hkl 1 7 0
54.19 deg, rel. 14, hkl 1 1 3
57.38 deg, rel. 25, hkl 1 3 3
61.12 deg, rel. 17, hkl 1 7 2

---

For BaTa6N8O, a GGA-PBE-relaxed structure gives the theoretical powder X-ray diffraction pattern in this record (Cu Kα).
Kinematic intensities with the Lorentz-polarization factor, no thermal factor.

Cell and atoms:
abc: 9.813 10.333 5.539
angles: 90.00 90.00 90.00
Space group Imm2 (No. 44)
Unique sites:
Ba1 0.000 0.000 0.000 x2
Ta1 0.000 0.321 0.312 x4
Ta2 0.196 0.320 0.766 x8
N1 0.000 0.283 0.670 x4
N2 0.142 0.247 0.098 x8
N3 0.245 0.500 0.786 x4
O1 0.000 0.500 0.242 x2

Top 12 peaks for 2θ = 10–80°, by angle:
17.16 deg, rel. 82, hkl 0 2 0
25.74 deg, rel. 82, hkl 2 1 1
27.44 deg, rel. 76, hkl 1 3 0
31.77 deg, rel. 87, hkl 3 0 1
32.32 deg, rel. 43, hkl 0 0 2
34.76 deg, rel. 24, hkl 1 1 2
35.74 deg, rel. 100, hkl 2 3 1
36.33 deg, rel. 55, hkl 3 2 1
36.82 deg, rel. 36, hkl 0 2 2
50.68 deg, rel. 49, hkl 2 5 1
53.76 deg, rel. 38, hkl 5 3 0
59.88 deg, rel. 27, hkl 2 3 3

---

For Pr4GeN2, a GGA-PBE-relaxed structure gives the theoretical powder X-ray diffraction pattern in this record (Cu Kα).
Kinematic intensities with the Lorentz-polarization factor, no thermal factor.

Cell and atoms:
abc: 14.252 6.444 3.661
angles: 90.00 104.80 90.00
Space group C2/m (No. 12)
Unique sites:
Pr1 0.144 0.245 0.145 x8
Ge1 0.000 0.500 0.500 x2
N1 0.218 0.000 0.718 x4

Top 12 peaks for 2θ = 10–80°, by angle:
25.17 deg, rel. 38, hkl 2 0 -1
25.86 deg, rel. 41, hkl 4 0 0
27.69 deg, rel. 44, hkl 0 2 0
31.24 deg, rel. 100, hkl 2 0 1
37.76 deg, rel. 68, hkl 2 2 -1
38.25 deg, rel. 63, hkl 4 2 0
42.23 deg, rel. 55, hkl 2 2 1
49.81 deg, rel. 18, hkl 2 0 -2
52.80 deg, rel. 18, hkl 6 0 1
60.66 deg, rel. 35, hkl 6 2 1
64.49 deg, rel. 26, hkl 6 2 -2
66.61 deg, rel. 23, hkl 2 4 1

---

For Cu9Ag, a GGA-PBE-relaxed structure gives the theoretical powder X-ray diffraction pattern in this record (Cu Kα).
Kinematic intensities with the Lorentz-polarization factor, no thermal factor.

Cell and atoms:
abc: 5.766 6.852 12.904
angles: 98.73 102.84 94.78
Space group P1 (No. 1)
Unique sites:
Cu1 0.000 0.000 0.000 x1
Cu2 0.000 0.508 0.497 x1
Cu3 0.041 0.638 0.169 x1
Cu4 0.042 0.131 0.666 x1
Cu5 0.093 0.751 0.843 x1
Cu6 0.108 0.258 0.354 x1
Cu7 0.147 0.882 0.522 x1
Cu8 0.157 0.395 0.020 x1
Cu9 0.186 0.000 0.197 x1
Cu10 0.198 0.506 0.693 x1
Cu11 0.252 0.639 0.377 x1
Cu12 0.299 0.258 0.546 x1
Cu13 0.300 0.759 0.046 x1
Cu14 0.345 0.875 0.716 x1
Cu15 0.395 0.006 0.400 x1
Cu16 0.396 0.516 0.893 x1
Cu17 0.444 0.124 0.070 x1
Cu18 0.450 0.633 0.572 x1
Cu19 0.496 0.258 0.738 x1
Cu20 0.498 0.758 0.247 x1
Cu21 0.549 0.872 0.919 x1
Cu22 0.554 0.390 0.429 x1
Cu23 0.596 0.006 0.594 x1
Cu24 0.602 0.515 0.095 x1
Cu25 0.645 0.630 0.768 x1
Cu26 0.700 0.759 0.446 x1
Cu27 0.746 0.878 0.118 x1
Cu28 0.749 0.384 0.620 x1
Cu29 0.783 0.995 0.788 x1
Cu30 0.813 0.516 0.299 x1
Cu31 0.853 0.132 0.476 x1
Cu32 0.853 0.639 0.969 x1
Cu33 0.896 0.259 0.146 x1
Cu34 0.898 0.756 0.644 x1
Cu35 0.945 0.390 0.813 x1
Cu36 0.957 0.877 0.324 x1
Ag1 0.234 0.129 0.867 x1
Ag2 0.344 0.388 0.222 x1
Ag3 0.656 0.129 0.275 x1
Ag4 0.708 0.258 0.944 x1

Top 12 peaks for 2θ = 10–80°, by angle:
13.17 deg, rel. 1, hkl 0 1 0
30.41 deg, rel. 1, hkl -1 2 1
33.24 deg, rel. 1, hkl 2 -1 0
35.17 deg, rel. 1, hkl 2 1 -2
35.99 deg, rel. 1, hkl 1 0 -5
41.31 deg, rel. 1, hkl 0 2 -5
42.83 deg, rel. 100, hkl -1 3 1
42.92 deg, rel. 99, hkl 2 -1 3
49.87 deg, rel. 62, hkl 0 3 -5
50.03 deg, rel. 31, hkl -3 1 3
73.06 deg, rel. 9, hkl 1 5 -1
73.33 deg, rel. 44, hkl 3 -4 2

---

For LaPr2AlBr3, a GGA-PBE-relaxed structure gives the theoretical powder X-ray diffraction pattern in this record (Cu Kα).
Kinematic intensities with the Lorentz-polarization factor, no thermal factor.

Cell and atoms:
abc: 6.097 6.097 6.120
angles: 90.00 90.00 90.00
Space group P4/mmm (No. 123)
Unique sites:
La1 0.000 0.000 0.000 x1
Pr1 0.000 0.500 0.500 x2
Al1 0.000 0.000 0.500 x1
Br1 0.000 0.500 0.000 x2
Br2 0.500 0.500 0.500 x1

Top 12 peaks for 2θ = 10–80°, by angle:
20.58 deg, rel. 50, hkl 1 1 0
25.27 deg, rel. 11, hkl 1 1 1
29.19 deg, rel. 45, hkl 0 0 2
29.30 deg, rel. 89, hkl 2 0 0
36.04 deg, rel. 24, hkl 1 1 2
41.86 deg, rel. 100, hkl 2 2 0
51.89 deg, rel. 35, hkl 2 2 2
60.77 deg, rel. 11, hkl 4 0 0
68.64 deg, rel. 15, hkl 2 0 4
68.84 deg, rel. 30, hkl 4 2 0
76.33 deg, rel. 11, hkl 2 2 4
76.50 deg, rel. 22, hkl 4 2 2

---

For Y3HgO, a GGA-PBE-relaxed structure gives the theoretical powder X-ray diffraction pattern in this record (Cu Kα).
Kinematic intensities with the Lorentz-polarization factor, no thermal factor.

Cell and atoms:
abc: 6.7363 6.7363 16.5005
angles: 90.00 90.00 120.00
Space group R-3c (No. 167, hexagonal axes)
Unique sites:
Y1 0.0000 0.4880 0.2500 x18
Hg1 0.0000 0.0000 0.2500 x6
O1 0.0000 0.0000 0.0000 x6

Top 12 peaks for 2θ = 10–80°, by angle:
18.63 deg, rel. 11, hkl 0 1 2
26.46 deg, rel. 19, hkl 1 0 4
32.56 deg, rel. 100, hkl 0 0 6
37.77 deg, rel. 58, hkl 0 2 4
42.43 deg, rel. 7, hkl 1 2 2
46.71 deg, rel. 9, hkl 3 0 0
54.49 deg, rel. 39, hkl 2 0 8
58.10 deg, rel. 4, hkl 3 0 6
61.57 deg, rel. 4, hkl 1 2 8
64.93 deg, rel. 40, hkl 0 2 10
68.20 deg, rel. 13, hkl 0 0 12
74.54 deg, rel. 5, hkl 3 2 4

---

For DyY2Tm4Ni2Te2, a GGA-PBE-relaxed structure gives the theoretical powder X-ray diffraction pattern in this record (Cu Kα).
Kinematic intensities with the Lorentz-polarization factor, no thermal factor.

Cell and atoms:
abc: 3.847 15.493 9.500
angles: 90.00 90.00 90.00
Space group Imm2 (No. 44)
Unique sites:
Dy1 0.000 0.000 0.000 x2
Y1 0.000 0.353 0.267 x4
Tm1 0.000 0.134 0.416 x4
Tm2 0.000 0.315 0.620 x4
Ni1 0.000 0.240 0.929 x4
Te1 0.000 0.000 0.661 x2
Te2 0.000 0.500 0.765 x2

Top 12 peaks for 2θ = 10–80°, by angle:
24.97 deg, rel. 24, hkl 1 0 1
30.34 deg, rel. 27, hkl 0 5 1
30.45 deg, rel. 49, hkl 1 1 2
33.19 deg, rel. 80, hkl 0 3 3
34.18 deg, rel. 100, hkl 1 4 1
34.69 deg, rel. 93, hkl 0 6 0
36.76 deg, rel. 21, hkl 1 0 3
38.62 deg, rel. 20, hkl 1 2 3
39.71 deg, rel. 16, hkl 0 2 4
47.26 deg, rel. 31, hkl 2 0 0
58.97 deg, rel. 31, hkl 2 3 3
65.68 deg, rel. 18, hkl 1 6 5

---

For DyEr2Tm4Ni2Te2, a GGA-PBE-relaxed structure gives the theoretical powder X-ray diffraction pattern in this record (Cu Kα).
Kinematic intensities with the Lorentz-polarization factor, no thermal factor.

Cell and atoms:
abc: 3.824 15.419 9.475
angles: 90.00 90.00 90.00
Space group Imm2 (No. 44)
Unique sites:
Dy1 0.000 0.000 0.000 x2
Er1 0.000 0.353 0.730 x4
Tm1 0.000 0.134 0.583 x4
Tm2 0.000 0.315 0.378 x4
Ni1 0.000 0.238 0.072 x4
Te1 0.000 0.000 0.338 x2
Te2 0.000 0.500 0.234 x2

Top 12 peaks for 2θ = 10–80°, by angle:
25.12 deg, rel. 17, hkl 1 0 1
29.11 deg, rel. 22, hkl 1 3 0
30.48 deg, rel. 22, hkl 0 5 1
30.60 deg, rel. 51, hkl 1 1 2
33.30 deg, rel. 81, hkl 0 3 3
34.36 deg, rel. 100, hkl 1 4 1
34.86 deg, rel. 77, hkl 0 6 0
36.92 deg, rel. 22, hkl 1 0 3
38.78 deg, rel. 18, hkl 1 2 3
47.56 deg, rel. 30, hkl 2 0 0
51.63 deg, rel. 18, hkl 1 7 2
59.30 deg, rel. 31, hkl 2 3 3

---

For NdSmZr2Bi2, a GGA-PBE-relaxed structure gives the theoretical powder X-ray diffraction pattern in this record (Cu Kα).
Kinematic intensities with the Lorentz-polarization factor, no thermal factor.

Cell and atoms:
abc: 4.385 4.385 17.249
angles: 90.00 90.00 90.00
Space group I4mm (No. 107)
Unique sites:
Nd1 0.000 0.000 0.000 x2
Sm1 0.000 0.000 0.354 x2
Zr1 0.000 0.500 0.178 x4
Bi1 0.000 0.000 0.547 x2
Bi2 0.000 0.000 0.808 x2

Top 12 peaks for 2θ = 10–80°, by angle:
28.79 deg, rel. 52, hkl 1 1 0
30.64 deg, rel. 51, hkl 1 1 2
31.11 deg, rel. 24, hkl 0 0 6
33.04 deg, rel. 56, hkl 1 0 5
35.66 deg, rel. 100, hkl 1 1 4
41.17 deg, rel. 59, hkl 2 0 0
52.49 deg, rel. 22, hkl 2 0 6
53.77 deg, rel. 29, hkl 2 1 5
59.64 deg, rel. 20, hkl 2 2 0
68.49 deg, rel. 23, hkl 2 1 9
71.47 deg, rel. 27, hkl 3 1 4
78.02 deg, rel. 21, hkl 2 1 11

---

For Li2PdO3, a GGA-PBE-relaxed structure gives the theoretical powder X-ray diffraction pattern in this record (Cu Kα).
Kinematic intensities with the Lorentz-polarization factor, no thermal factor.

Cell and atoms:
abc: 5.135 8.879 5.058
angles: 90.00 109.73 90.00
Space group C2 (No. 5)
Unique sites:
Li1 0.000 0.000 0.000 x2
Li2 0.000 0.162 0.500 x2
Li3 0.000 0.498 0.500 x2
Li4 0.000 0.836 0.500 x2
Pd1 0.000 0.333 0.000 x2
Pd2 0.000 0.667 0.000 x2
O1 0.235 0.500 0.241 x4
O2 0.248 0.327 0.762 x4
O3 0.248 0.673 0.762 x4

Top 12 peaks for 2θ = 10–80°, by angle:
18.64 deg, rel. 100, hkl 0 0 1
20.00 deg, rel. 21, hkl 0 2 0
20.93 deg, rel. 38, hkl 1 1 0
23.58 deg, rel. 28, hkl 1 1 -1
27.47 deg, rel. 19, hkl 0 2 1
35.56 deg, rel. 53, hkl 2 0 -1
37.24 deg, rel. 22, hkl 2 0 0
43.44 deg, rel. 78, hkl 1 3 1
47.65 deg, rel. 21, hkl 1 3 -2
57.73 deg, rel. 15, hkl 1 3 2
62.73 deg, rel. 23, hkl 0 6 0
63.48 deg, rel. 22, hkl 2 0 2